1.
PrLuAg2Pb2: calculated XRD peak list (Cu Kα (weighted mean of Kα1 and Kα2)), based on a GGA-PBE-relaxed structure.
Neutral-atom scattering factors, no anomalous dispersion.

The 6 most intense peaks (10° ≤ 2θ ≤ 90°), in order of rising 2θ:
two_theta  I_rel  (hkl)
24.4  253  1 0 1
32.0  1000  1 0 2
37.3  864  1 1 0
42.0  237  0 1 3
49.9  290  0 2 2
63.9  276  2 1 2

Crystal structure
```
data_PrLuAg2Pb2
_symmetry_space_group_name_H-M 'P 3 m 1'
_symmetry_Int_Tables_number 156
_symmetry_space_group_name_Hall 'P 3 -2"'
_cell_length_a 4.8256
_cell_length_b 4.8256
_cell_length_c 7.5236
_cell_angle_alpha 90.00
_cell_angle_beta 90.00
_cell_angle_gamma 120.00
loop_
_atom_site_label
_atom_site_type_symbol
_atom_site_fract_x
_atom_site_fract_y
_atom_site_fract_z
Pr1 Pr 0.0000 0.0000 0.0000
Lu1 Lu 0.0000 0.0000 0.5019
Ag1 Ag 0.3333 0.6667 0.6793
Ag2 Ag 0.6667 0.3333 0.2073
Pb1 Pb 0.3333 0.6667 0.2861
Pb2 Pb 0.6667 0.3333 0.7737
```

---

2.
NdY2Mg3Cd2Ag: calculated XRD peak list (Cu Kα (weighted mean of Kα1 and Kα2)), based on a GGA-PBE-relaxed structure.
Neutral-atom scattering factors, no anomalous dispersion.

The 6 most intense peaks (10° ≤ 2θ ≤ 90°), in order of rising 2θ:
two_theta  I_rel  (hkl)
22.6  296  0 3 1
31.0  1000  1 3 1
33.7  423  1 4 0
33.8  827  1 2 2
39.9  319  0 3 3
42.5  300  2 0 0

Crystal structure
```
data_NdY2Mg3Cd2Ag
_symmetry_space_group_name_H-M 'A m m 2'
_symmetry_Int_Tables_number 38
_symmetry_space_group_name_Hall 'A 2 -2'
_cell_length_a 4.252
_cell_length_b 13.640
_cell_length_c 7.823
_cell_angle_alpha 90.00
_cell_angle_beta 90.00
_cell_angle_gamma 90.00
loop_
_atom_site_label
_atom_site_type_symbol
_atom_site_fract_x
_atom_site_fract_y
_atom_site_fract_z
Nd1 Nd 0.000 0.000 0.000
Y1 Y 0.000 0.203 0.611
Mg1 Mg 0.500 0.000 0.650
Mg2 Mg 0.500 0.122 0.288
Cd1 Cd 0.500 0.170 0.907
Ag1 Ag 0.000 0.000 0.412
```

---

3.
CuH8C2NCl3: calculated XRD peak list (Cu Kα (weighted mean of Kα1 and Kα2)), based on a GGA-PBE-relaxed structure.
Neutral-atom scattering factors, no anomalous dispersion.

The 6 most intense peaks (10° ≤ 2θ ≤ 90°), in order of rising 2θ:
two_theta  I_rel  (hkl)
12.0  341  1 0 0
12.4  205  1 1 1
12.7  1000  0 1 1
12.9  217  1 0 1
28.0  571  0 1 3
34.0  230  0 3 -1

Crystal structure
```
data_CuH8C2NCl3
_symmetry_space_group_name_H-M 'P -1'
_symmetry_Int_Tables_number 2
_symmetry_space_group_name_Hall '-P 1'
_cell_length_a 8.520
_cell_length_b 9.596
_cell_length_c 10.517
_cell_angle_alpha 73.58
_cell_angle_beta 68.67
_cell_angle_gamma 64.51
loop_
_atom_site_label
_atom_site_type_symbol
_atom_site_fract_x
_atom_site_fract_y
_atom_site_fract_z
Cu1 Cu 0.079 0.157 0.430
Cu2 Cu 0.152 0.351 0.086
H1 H 0.068 0.695 0.271
H2 H 0.094 0.071 0.811
H3 H 0.183 0.981 0.957
H4 H 0.210 0.772 0.297
H5 H 0.216 0.865 0.835
H6 H 0.219 0.518 0.433
H7 H 0.263 0.250 0.759
H8 H 0.282 0.684 0.145
H9 H 0.296 0.440 0.288
H10 H 0.378 0.142 0.891
H11 H 0.394 0.010 0.662
H12 H 0.436 0.496 0.787
H13 H 0.456 0.625 0.626
H14 H 0.483 0.909 0.794
H15 H 0.486 0.579 0.373
H16 H 0.494 0.836 0.287
C1 C 0.205 0.978 0.849
C2 C 0.208 0.681 0.255
C3 C 0.381 0.151 0.784
C4 C 0.486 0.494 0.322
N1 N 0.296 0.526 0.330
N2 N 0.376 0.005 0.767
Cl1 Cl 0.062 0.583 0.639
Cl2 Cl 0.088 0.613 0.986
Cl3 Cl 0.185 0.890 0.522
Cl4 Cl 0.197 0.097 0.169
Cl5 Cl 0.302 0.183 0.476
Cl6 Cl 0.422 0.333 0.086
```

---

4.
ErScZn2Sn2: calculated XRD peak list (Cu Kα (weighted mean of Kα1 and Kα2)), based on a GGA-PBE-relaxed structure.
Neutral-atom scattering factors, no anomalous dispersion.

The 6 most intense peaks (10° ≤ 2θ ≤ 90°), in order of rising 2θ:
two_theta  I_rel  (hkl)
25.9  260  1 0 2
29.0  284  1 0 3
33.0  1000  1 0 4
40.6  741  1 1 0
53.3  284  2 0 4
69.1  246  2 1 4

Crystal structure
```
data_ErScZn2Sn2
_symmetry_space_group_name_H-M 'P 63/m m c'
_symmetry_Int_Tables_number 194
_symmetry_space_group_name_Hall '-P 6c 2c'
_cell_length_a 4.4414
_cell_length_b 4.4414
_cell_length_c 15.3496
_cell_angle_alpha 90.00
_cell_angle_beta 90.00
_cell_angle_gamma 120.00
loop_
_atom_site_label
_atom_site_type_symbol
_atom_site_fract_x
_atom_site_fract_y
_atom_site_fract_z
Er1 Er 0.0000 0.0000 0.0000
Sc1 Sc 0.0000 0.0000 0.2500
Zn1 Zn 0.3333 0.6667 0.1638
Sn1 Sn 0.3333 0.6667 0.6153
```

---

5.
Nd2ErTe3: calculated XRD peak list (Cu Kα (weighted mean of Kα1 and Kα2)), based on a GGA-PBE-relaxed structure.
Neutral-atom scattering factors, no anomalous dispersion.

The 6 most intense peaks (10° ≤ 2θ ≤ 90°), in order of rising 2θ:
two_theta  I_rel  (hkl)
28.5  1000  0 1 2
40.4  380  1 0 4
40.9  379  1 1 0
50.6  203  2 0 2
66.3  166  1 1 6
67.0  173  1 2 2

Crystal structure
```
data_Nd2ErTe3
_symmetry_space_group_name_H-M 'P -3 m 1'
_symmetry_Int_Tables_number 164
_symmetry_space_group_name_Hall '-P 3 2"'
_cell_length_a 4.4109
_cell_length_b 4.4109
_cell_length_c 10.9907
_cell_angle_alpha 90.00
_cell_angle_beta 90.00
_cell_angle_gamma 120.00
loop_
_atom_site_label
_atom_site_type_symbol
_atom_site_fract_x
_atom_site_fract_y
_atom_site_fract_z
Nd1 Nd 0.3333 0.6667 0.1713
Er1 Er 0.0000 0.0000 0.5000
Te1 Te 0.0000 0.0000 0.0000
Te2 Te 0.3333 0.6667 0.6534
```

---

6.
ZnH26PtC12S4N2O10: calculated XRD peak list (Cu Kα (weighted mean of Kα1 and Kα2)), based on a GGA-PBE-relaxed structure.
Neutral-atom scattering factors, no anomalous dispersion.

The 6 most intense peaks (10° ≤ 2θ ≤ 90°), in order of rising 2θ:
two_theta  I_rel  (hkl)
12.6  960  0 1 -1
15.7  545  0 1 1
17.9  776  1 -1 1
18.1  606  -1 1 1
19.8  699  1 0 -2
23.2  1000  0 1 -3

Crystal structure
```
data_ZnH26PtC12S4N2O10
_symmetry_space_group_name_H-M 'P 1'
_symmetry_Int_Tables_number 1
_symmetry_space_group_name_Hall 'P 1'
_cell_length_a 6.058
_cell_length_b 7.923
_cell_length_c 12.068
_cell_angle_alpha 101.24
_cell_angle_beta 95.88
_cell_angle_gamma 107.07
loop_
_atom_site_label
_atom_site_type_symbol
_atom_site_fract_x
_atom_site_fract_y
_atom_site_fract_z
Zn1 Zn 0.000 0.000 0.000
H1 H 0.051 0.642 0.249
H2 H 0.131 0.346 0.028
H3 H 0.143 0.572 0.701
H4 H 0.185 0.134 0.723
H5 H 0.187 0.697 0.131
H6 H 0.242 0.942 0.368
H7 H 0.243 0.508 0.887
H8 H 0.248 0.186 0.589
H9 H 0.250 0.004 0.234
H10 H 0.325 0.737 0.793
H11 H 0.404 0.625 0.351
H12 H 0.409 0.519 0.208
H13 H 0.419 0.980 0.961
H14 H 0.437 0.535 0.995
H15 H 0.458 0.144 0.069
H16 H 0.540 0.344 0.827
H17 H 0.540 0.450 0.710
H18 H 0.662 0.338 0.221
H19 H 0.673 0.451 0.124
H20 H 0.743 0.684 0.878
H21 H 0.747 0.989 0.624
H22 H 0.784 0.811 0.332
H23 H 0.793 0.298 0.621
H24 H 0.906 0.327 0.768
H25 H 0.930 0.294 0.107
H26 H 0.998 0.690 0.850
Pt1 Pt 0.989 0.487 0.474
C1 C 0.216 0.715 0.225
C2 C 0.280 0.844 0.589
C3 C 0.302 0.916 0.285
C4 C 0.323 0.165 0.670
C5 C 0.415 0.647 0.265
C6 C 0.540 0.323 0.734
C7 C 0.634 0.805 0.269
C8 C 0.663 0.059 0.687
C9 C 0.699 0.129 0.358
C10 C 0.713 0.006 0.800
C11 C 0.718 0.797 0.151
C12 C 0.749 0.265 0.702
S1 S 0.379 0.660 0.554
S2 S 0.599 0.313 0.398
S3 S 0.982 0.780 0.545
S4 S 0.997 0.197 0.396
N1 N 0.413 0.010 0.643
N2 N 0.559 0.964 0.306
O1 O 0.070 0.267 0.082
O2 O 0.186 0.624 0.784
O3 O 0.287 0.451 0.948
O4 O 0.345 0.022 0.027
O5 O 0.548 0.916 0.844
O6 O 0.675 0.330 0.139
O7 O 0.688 0.642 0.089
O8 O 0.816 0.948 0.128
O9 O 0.908 0.727 0.911
O10 O 0.927 0.061 0.845
```